Record 1
This entry pairs a crystal structure of KGd8 with its calculated powder X-ray diffraction pattern. Radiation: Cu Kα (weighted mean of Kα1 and Kα2). Structure: a PBE-relaxed structure.

Atomic structure:
Cell: 9.5217 11.7718 23.0313 Å, 90.00 90.00 90.00°
Space group Fddd (No. 70, origin choice 2)
Inequivalent atoms, fractional coordinates:
K (0.1250, 0.1250, 0.1250) [8 per cell]
Gd (0.0018, 0.0094, 0.4224) [32 per cell]
Gd (0.0703, 0.2617, 0.9831) [32 per cell]

The 10 most intense peaks (10 to 90 degrees two-theta), most intense first:
2θ/deg	I_rel
33.6	100
29.4	64
29.7	59
30.4	52
36.9	33
36.6	29
12.6	28
27.2	22
56.1	22
61.0	21

***

Record 2
This entry pairs a crystal structure of Cd2GeO4 with its calculated powder X-ray diffraction pattern. Radiation: Cu Kα (weighted mean of Kα1 and Kα2). Structure: a PBE-relaxed structure.

Atomic structure:
Cell: 5.5255 9.7233 3.0470 Å, 90.00 90.00 90.00°
Space group Pbam (No. 55)
Inequivalent atoms, fractional coordinates:
Cd (0.0606, 0.1734, 0.0000) [4 per cell]
Ge (0.0000, 0.5000, 0.5000) [2 per cell]
O (0.1228, 0.6804, 0.5000) [4 per cell]
O (0.2203, 0.4580, 0.0000) [4 per cell]

The 10 most intense peaks (10 to 90 degrees two-theta), most intense first:
2θ/deg	I_rel
32.0	100
34.9	70
48.2	33
45.3	31
32.4	30
44.0	30
34.7	27
58.8	25
29.3	21
70.4	20

***

Record 3
This entry pairs a crystal structure of NbGaCO with its calculated powder X-ray diffraction pattern. Radiation: Cu Kα (weighted mean of Kα1 and Kα2). Structure: a PBE-relaxed structure.

Atomic structure:
Cell: 3.1254 3.1254 33.2507 Å, 90.00 90.00 120.00°
Space group R-3m (No. 166, hexagonal axes)
Inequivalent atoms, fractional coordinates:
Nb (0.0000, 0.0000, 0.0000) [3 per cell]
Nb (0.0000, 0.0000, 0.5000) [3 per cell]
Ga (0.0000, 0.0000, 0.2368) [6 per cell]
C (0.0000, 0.0000, 0.1222) [6 per cell]
O (0.0000, 0.0000, 0.2951) [6 per cell]

The 10 most intense peaks (10 to 90 degrees two-theta), most intense first:
2θ/deg	I_rel
34.9	100
39.7	62
59.1	29
32.3	18
55.8	14
69.0	13
70.5	12
16.0	10
73.6	10
58.2	9

***

Record 4
This entry pairs a crystal structure of LaTb2Sn5Pb2 with its calculated powder X-ray diffraction pattern. Radiation: Cu Kα (weighted mean of Kα1 and Kα2). Structure: a PBE-relaxed structure.

Atomic structure:
Cell: 4.6510 25.4475 4.6813 Å, 90.00 90.00 90.00°
Space group Cmmm (No. 65)
Inequivalent atoms, fractional coordinates:
La (0.0000, 0.0000, 0.0000) [2 per cell]
Tb (0.0000, 0.1847, 0.0000) [4 per cell]
Sn (0.0000, 0.0974, 0.5000) [4 per cell]
Sn (0.0000, 0.4031, 0.0000) [4 per cell]
Sn (0.0000, 0.5000, 0.5000) [2 per cell]
Pb (0.0000, 0.2944, 0.5000) [4 per cell]

The 10 most intense peaks (10 to 90 degrees two-theta), most intense first:
2θ/deg	I_rel
32.3	100
38.5	17
35.3	17
38.7	16
65.7	13
66.1	13
55.7	12
53.2	10
53.4	10
67.7	10

***

Record 5
This entry pairs a crystal structure of Tb2Ag2C3 with its calculated powder X-ray diffraction pattern. Radiation: Cu Kα (weighted mean of Kα1 and Kα2). Structure: a PBE-relaxed structure.

Atomic structure:
Cell: 11.4544 3.5814 5.7838 Å, 90.00 110.95 90.00°
Space group C2/m (No. 12)
Inequivalent atoms, fractional coordinates:
Tb (0.1179, 0.0000, 0.2961) [4 per cell]
Ag (0.1438, 0.5000, 0.8330) [4 per cell]
C (0.0000, 0.5000, 0.0000) [2 per cell]
C (0.2376, 0.0000, 0.7327) [4 per cell]

The 10 most intense peaks (10 to 90 degrees two-theta), most intense first:
2θ/deg	I_rel
32.7	100
35.2	84
33.5	46
33.2	31
54.6	28
31.3	25
38.0	24
29.4	20
51.0	19
57.8	17